SmSc4Al5: calculated powder diffraction line list (Cu Ka), based on a PBE-relaxed structure.
Neutral-atom scattering factors, no anomalous dispersion.

Structure:
```
data_SmSc4Al5
_chemical_formula_sum 'Sm1 Sc4 Al5'
_cell_length_a 3.4324
_cell_length_b 3.4324
_cell_length_c 17.2323
_cell_angle_alpha 90.00
_cell_angle_beta 90.00
_cell_angle_gamma 90.00
_symmetry_space_group_name_H-M 'P 4/m m m'
_symmetry_Int_Tables_number 123
_symmetry_space_group_name_Hall '-P 4 2'
loop_
_atom_site_label
_atom_site_fract_x
_atom_site_fract_y
_atom_site_fract_z
Sm1 0.0000 0.0000 0.0000
Sc1 0.0000 0.0000 0.2129
Sc2 0.0000 0.0000 0.4046
Al1 0.5000 0.5000 0.1187
Al2 0.5000 0.5000 0.3089
Al3 0.5000 0.5000 0.5000
```

Peak list (8 most intense, 10 to 90 degrees two-theta, in order of rising 2θ)
- 2θ = 10.27°, I = 13.3, (0 0 2)
- 2θ = 25.96°, I = 15.8, (1 0 0)
- 2θ = 30.34°, I = 8.6, (1 0 3)
- 2θ = 33.38°, I = 11.0, (1 0 4)
- 2θ = 36.99°, I = 100.0, (1 1 0)
- 2θ = 53.38°, I = 11.7, (2 0 0)
- 2θ = 66.55°, I = 8.3, (1 1 10)
- 2θ = 66.70°, I = 21.4, (2 1 5)

Sm2Sc2Al3: calculated powder diffraction line list (Cu Ka), based on a PBE-relaxed structure.
Neutral-atom scattering factors, no anomalous dispersion.

Structure:
```
data_Sm2Sc2Al3
_chemical_formula_sum 'Sm4 Sc4 Al6'
_cell_length_a 4.4439
_cell_length_b 23.1795
_cell_length_c 3.1280
_cell_angle_alpha 90.00
_cell_angle_beta 90.00
_cell_angle_gamma 90.00
_symmetry_space_group_name_H-M 'C m m m'
_symmetry_Int_Tables_number 65
_symmetry_space_group_name_Hall '-C 2 2'
loop_
_atom_site_label
_atom_site_fract_x
_atom_site_fract_y
_atom_site_fract_z
Sm1 0.0000 0.0763 0.0000
Sc1 0.0000 0.2099 0.0000
Al1 0.0000 0.3391 0.5000
Al2 0.0000 0.5000 0.5000
```

Peak list (8 most intense, 10 to 90 degrees two-theta, in order of rising 2θ)
- 2θ = 20.35°, I = 90.2, (1 1 0)
- 2θ = 28.54°, I = 35.2, (0 0 1)
- 2θ = 33.76°, I = 95.0, (1 7 0)
- 2θ = 35.30°, I = 100.0, (1 1 1)
- 2θ = 36.98°, I = 53.8, (0 6 1)
- 2θ = 40.60°, I = 31.5, (2 0 0)
- 2θ = 44.77°, I = 42.8, (1 7 1)
- 2θ = 56.07°, I = 31.0, (2 6 1)

SmSc4Al: calculated powder diffraction line list (Cu Ka), based on a PBE-relaxed structure.
Neutral-atom scattering factors, no anomalous dispersion.

Structure:
```
data_SmSc4Al
_chemical_formula_sum 'Sm2 Sc8 Al2'
_cell_length_a 8.7682
_cell_length_b 5.0763
_cell_length_c 6.4949
_cell_angle_alpha 90.00
_cell_angle_beta 90.22
_cell_angle_gamma 90.00
_symmetry_space_group_name_H-M 'C 1 2/m 1'
_symmetry_Int_Tables_number 12
loop_
_symmetry_equiv_pos_as_xyz
'x,y,z'
'-x,-y,-z'
'-x,y,-z'
'x,-y,z'
'x+1/2,y+1/2,z'
'-x+1/2,-y+1/2,-z'
'-x+1/2,y+1/2,-z'
'x+1/2,-y+1/2,z'
loop_
_atom_site_label
_atom_site_fract_x
_atom_site_fract_y
_atom_site_fract_z
Sm1 0.0000 0.0000 0.0000
Sc1 0.1664 0.5000 0.6433
Sc2 0.1671 0.5000 0.1498
Al1 0.0000 0.0000 0.5000
```

Peak list (8 most intense, 10 to 90 degrees two-theta, in order of rising 2θ)
- 2θ = 13.63°, I = 33.8, (0 0 1)
- 2θ = 20.23°, I = 21.7, (1 1 0)
- 2θ = 24.46°, I = 49.0, (1 1 1)
- 2θ = 34.35°, I = 100.0, (1 1 2)
- 2θ = 35.41°, I = 93.5, (3 1 0)
- 2θ = 50.09°, I = 22.3, (2 2 -2)
- 2θ = 60.77°, I = 12.1, (1 1 -4)
- 2θ = 62.85°, I = 21.6, (1 3 2)

TbSc2Al2: calculated powder diffraction line list (Cu Ka), based on a PBE-relaxed structure.
Neutral-atom scattering factors, no anomalous dispersion.

Structure:
```
data_TbSc2Al2
_chemical_formula_sum 'Tb2 Sc4 Al4'
_cell_length_a 5.2927
_cell_length_b 3.5133
_cell_length_c 12.8032
_cell_angle_alpha 90.00
_cell_angle_beta 96.05
_cell_angle_gamma 90.00
_symmetry_space_group_name_H-M 'P 1 21/m 1'
_symmetry_Int_Tables_number 11
loop_
_symmetry_equiv_pos_as_xyz
'x,y,z'
'-x,-y,-z'
'-x,y+1/2,-z'
'x,-y+1/2,z'
loop_
_atom_site_label
_atom_site_fract_x
_atom_site_fract_y
_atom_site_fract_z
Tb1 0.1844 0.2500 0.2413
Sc1 0.2418 0.7500 0.4688
Sc2 0.3408 0.2500 0.8880
Al1 0.1598 0.7500 0.0421
Al2 0.2907 0.2500 0.6589
```

Peak list (8 most intense, 10 to 90 degrees two-theta, in order of rising 2θ)
- 2θ = 13.91°, I = 55.7, (0 0 2)
- 2θ = 17.54°, I = 49.6, (1 0 -1)
- 2θ = 30.59°, I = 41.3, (1 1 0)
- 2θ = 32.97°, I = 89.1, (1 1 -2)
- 2θ = 33.10°, I = 100.0, (0 1 3)
- 2θ = 34.06°, I = 60.5, (2 0 0)
- 2θ = 34.49°, I = 78.5, (1 1 2)
- 2θ = 37.58°, I = 47.4, (1 0 -5)